Entry 1:
Diffraction record for AlH12O5F5. The powder XRD pattern is computed, not measured: it uses a PBE-relaxed structure and Cu Kα X-rays.

Crystal structure
Lattice parameters (Å, degrees): 8.012 3.734 13.777 90.00 107.99 90.00
Atoms (fractional coordinates):
Al: 0.000 0.021 0.000
Al: 0.000 0.979 0.500
H: 0.003 0.486 0.751
H: 0.003 0.514 0.251
H: 0.158 0.186 0.727
H: 0.158 0.814 0.227
H: 0.160 0.215 0.847
H: 0.160 0.785 0.347
H: 0.332 0.225 0.149
H: 0.332 0.775 0.649
H: 0.395 0.193 0.481
H: 0.395 0.807 0.981
H: 0.472 0.456 0.105
H: 0.472 0.544 0.605
H: 0.496 0.479 0.240
H: 0.496 0.521 0.740
H: 0.524 0.458 0.886
H: 0.524 0.542 0.386
H: 0.605 0.201 0.522
H: 0.605 0.799 0.022
H: 0.664 0.241 0.844
H: 0.664 0.759 0.344
H: 0.844 0.234 0.155
H: 0.844 0.766 0.655
H: 0.847 0.208 0.274
H: 0.847 0.792 0.774
O: 0.145 0.352 0.782
O: 0.145 0.648 0.282
O: 0.456 0.323 0.165
O: 0.456 0.677 0.665
O: 0.499 0.353 0.502
O: 0.499 0.647 0.002
O: 0.542 0.341 0.825
O: 0.542 0.659 0.325
O: 0.858 0.374 0.220
O: 0.858 0.626 0.720
F: 0.002 0.477 0.501
F: 0.002 0.523 0.001
F: 0.157 0.034 0.129
F: 0.157 0.966 0.629
F: 0.186 0.022 0.949
F: 0.186 0.978 0.449
F: 0.818 0.023 0.053
F: 0.818 0.977 0.553
F: 0.848 0.028 0.872
F: 0.848 0.972 0.372

Largest 10 diffraction maxima, sorted by position, 10 to 90 degrees two-theta:
Position (°2θ), I (rel.)
11.6, 100
13.5, 38
14.9, 40
26.6, 38
27.5, 32
31.3, 19
31.5, 31
33.6, 34
35.3, 24
35.6, 19

Entry 2:
Diffraction record for CeSe2. The powder XRD pattern is computed, not measured: it uses a PBE-relaxed structure and Cu Kα X-rays.

Crystal structure
Lattice parameters (Å, degrees): 16.907 16.907 17.309 90.00 90.00 120.00
Atoms (fractional coordinates):
Ce: 0.139 0.570 0.104
Ce: 0.139 0.570 0.396
Ce: 0.430 0.570 0.104
Ce: 0.430 0.570 0.396
Ce: 0.430 0.861 0.104
Ce: 0.430 0.861 0.396
Ce: 0.570 0.139 0.604
Ce: 0.570 0.139 0.896
Ce: 0.570 0.430 0.604
Ce: 0.570 0.430 0.896
Ce: 0.861 0.430 0.604
Ce: 0.861 0.430 0.896
Se: 0.000 0.500 0.000
Se: 0.000 0.500 0.500
Se: 0.069 0.535 0.250
Se: 0.247 0.495 0.085
Se: 0.247 0.495 0.415
Se: 0.247 0.753 0.085
Se: 0.247 0.753 0.415
Se: 0.465 0.535 0.250
Se: 0.465 0.931 0.250
Se: 0.495 0.247 0.585
Se: 0.495 0.247 0.915
Se: 0.500 0.000 0.000
Se: 0.500 0.000 0.500
Se: 0.500 0.500 0.000
Se: 0.500 0.500 0.500
Se: 0.505 0.753 0.085
Se: 0.505 0.753 0.415
Se: 0.535 0.069 0.750
Se: 0.535 0.465 0.750
Se: 0.753 0.247 0.585
Se: 0.753 0.247 0.915
Se: 0.753 0.505 0.585
Se: 0.753 0.505 0.915
Se: 0.931 0.465 0.750

Largest 10 diffraction maxima, sorted by position, 10 to 90 degrees two-theta:
Position (°2θ), I (rel.)
10.2, 22
12.1, 78
16.5, 100
16.8, 55
18.2, 51
18.9, 29
29.5, 22
30.2, 26
31.0, 20
40.6, 52

Entry 3:
Diffraction record for TbAlO3. The powder XRD pattern is computed, not measured: it uses a PBE-relaxed structure and Cu Kα X-rays.

Crystal structure
Lattice parameters (Å, degrees): 5.376 7.465 5.236 90.00 90.00 90.00
Atoms (fractional coordinates):
Tb: 0.051 0.250 0.012
Tb: 0.449 0.750 0.512
Tb: 0.551 0.250 0.488
Tb: 0.949 0.750 0.988
Al: 0.000 0.000 0.500
Al: 0.000 0.500 0.500
Al: 0.500 0.000 0.000
Al: 0.500 0.500 0.000
O: 0.021 0.750 0.417
O: 0.208 0.544 0.792
O: 0.208 0.956 0.792
O: 0.292 0.044 0.292
O: 0.292 0.456 0.292
O: 0.479 0.250 0.917
O: 0.521 0.750 0.083
O: 0.708 0.544 0.708
O: 0.708 0.956 0.708
O: 0.792 0.044 0.208
O: 0.792 0.456 0.208
O: 0.979 0.250 0.583

Largest 10 diffraction maxima, sorted by position, 10 to 90 degrees two-theta:
Position (°2θ), I (rel.)
23.7, 56
23.8, 33
26.6, 18
33.3, 20
33.9, 100
34.2, 25
41.4, 21
42.2, 27
48.5, 23
61.1, 22

Question: Number 3 is which compound?
Answer: TbAlO3